# 1
# Pr5Y2Sc
Computed X-ray powder pattern, Cu Ka. Input: a crystal structure in Alexandria, relaxed with PBE.
Neutral-atom scattering factors, no anomalous dispersion.

Main lines, in order of falling intensity (2θ = 5–70°):
two_theta	Rel. int.
30.2	100.0
34.8	34.6
59.5	28.4
50.6	22.8
35.6	15.7
62.9	11.7
60.6	6.6
60.7	6.3
50.0	6.1
49.9	6.1

Crystal structure
```
data_Pr5Y2Sc
_chemical_formula_sum 'Pr5 Y2 Sc1'
_cell_length_a 8.8795
_cell_length_b 8.8795
_cell_length_c 3.6469
_cell_angle_alpha 90.00
_cell_angle_beta 90.00
_cell_angle_gamma 110.78
_space_group_name_H-M_alt 'P 1'
_space_group_IT_number 1
loop_
_space_group_symop_operation_xyz
'x,y,z'
loop_
_atom_site_label
_atom_site_fract_x
_atom_site_fract_y
_atom_site_fract_z
Pr1 0.0000 0.0000 0.0000
Pr2 0.1367 0.3815 0.5000
Pr3 0.3815 0.1367 0.5000
Pr4 0.6185 0.8633 0.5000
Pr5 0.8633 0.6185 0.5000
Y1 0.2487 0.7513 0.0000
Y2 0.7513 0.2487 0.0000
Sc1 0.5000 0.5000 0.0000
```



# 2
# TbCePmEr
Computed X-ray powder pattern, Cu Ka. Input: a crystal structure in Alexandria, relaxed with PBE.
Neutral-atom scattering factors, no anomalous dispersion.

Main lines, in order of falling intensity (2θ = 5–70°):
two_theta	Rel. int.
31.4	100.0
56.0	39.2
45.1	18.6
65.6	12.1

Crystal structure
```
data_TbCePmEr
_chemical_formula_sum 'Tb1 Ce1 Pm1 Er1'
_cell_length_a 5.6913
_cell_length_b 5.6913
_cell_length_c 5.6913
_cell_angle_alpha 60.00
_cell_angle_beta 60.00
_cell_angle_gamma 60.00
_space_group_name_H-M_alt 'P 1'
_space_group_IT_number 1
loop_
_space_group_symop_operation_xyz
'x,y,z'
loop_
_atom_site_label
_atom_site_fract_x
_atom_site_fract_y
_atom_site_fract_z
Tb1 0.0000 0.0000 0.0000
Ce1 0.2500 0.2500 0.2500
Pm1 0.5000 0.5000 0.5000
Er1 0.7500 0.7500 0.7500
```



# 3
# TmCo2Ge3
Computed X-ray powder pattern, Cu Ka. Input: a crystal structure in Alexandria, relaxed with PBE.
Neutral-atom scattering factors, no anomalous dispersion.

Main lines, in order of falling intensity (2θ = 5–70°):
two_theta	Rel. int.
35.7	100.0
34.9	69.6
36.9	64.6
38.9	41.2
50.7	31.5
33.5	29.5
45.9	27.0
62.3	26.9
49.3	25.3
41.3	24.8

Crystal structure
```
data_TmCo2Ge3
_chemical_formula_sum 'Tm2 Co4 Ge6'
_cell_length_a 5.9679
_cell_length_b 5.9679
_cell_length_c 5.3575
_cell_angle_alpha 90.00
_cell_angle_beta 90.00
_cell_angle_gamma 78.77
_space_group_name_H-M_alt 'P 1'
_space_group_IT_number 1
loop_
_space_group_symop_operation_xyz
'x,y,z'
loop_
_atom_site_label
_atom_site_fract_x
_atom_site_fract_y
_atom_site_fract_z
Tm1 0.1489 0.8511 0.7500
Tm2 0.8511 0.1489 0.2500
Co1 0.2862 0.2862 0.0000
Co2 0.2862 0.2862 0.5000
Co3 0.7138 0.7138 0.0000
Co4 0.7138 0.7138 0.5000
Ge1 0.0415 0.6213 0.2500
Ge2 0.3787 0.9585 0.2500
Ge3 0.4773 0.5227 0.2500
Ge4 0.5227 0.4773 0.7500
Ge5 0.6213 0.0415 0.7500
Ge6 0.9585 0.3787 0.7500
```



# 4
# Cr3IrRh5
Computed X-ray powder pattern, Cu Ka. Input: a crystal structure in Alexandria, relaxed with PBE.
Neutral-atom scattering factors, no anomalous dispersion.

Main lines, in order of falling intensity (2θ = 5–70°):
two_theta	Rel. int.
38.9	100.0
44.4	34.7
24.7	17.9
66.5	16.2
46.9	15.9
51.5	12.7
47.2	9.9
64.6	8.3
62.3	7.3
11.4	6.6

Crystal structure
```
data_Cr3IrRh5
_chemical_formula_sum 'Cr6 Ir2 Rh10'
_cell_length_a 5.7694
_cell_length_b 5.7694
_cell_length_c 7.7545
_cell_angle_alpha 90.00
_cell_angle_beta 90.00
_cell_angle_gamma 90.00
_space_group_name_H-M_alt 'P 1'
_space_group_IT_number 1
loop_
_space_group_symop_operation_xyz
'x,y,z'
loop_
_atom_site_label
_atom_site_fract_x
_atom_site_fract_y
_atom_site_fract_z
Cr1 0.0000 0.0000 0.0000
Cr2 0.1148 0.3852 0.5000
Cr3 0.3852 0.8852 0.5000
Cr4 0.5000 0.5000 0.0000
Cr5 0.6148 0.1148 0.5000
Cr6 0.8852 0.6148 0.5000
Ir1 0.0000 0.5000 0.0000
Ir2 0.5000 0.0000 0.0000
Rh1 0.0000 0.0000 0.5000
Rh2 0.2401 0.7401 0.2247
Rh3 0.2401 0.7401 0.7753
Rh4 0.2599 0.2401 0.2247
Rh5 0.2599 0.2401 0.7753
Rh6 0.5000 0.5000 0.5000
Rh7 0.7401 0.7599 0.2247
Rh8 0.7401 0.7599 0.7753
Rh9 0.7599 0.2599 0.2247
Rh10 0.7599 0.2599 0.7753
```